# MnRh2O4
Calculated powder diffractogram, Cu Kα (λ = 1.5418 Å). Input: the GGA+U geometry in Alexandria.
Neutral-atom scattering factors, no anomalous dispersion.

Structure:
```
MnRh2O4
1.0
0.0000 4.3803 4.3803
4.3803 0.0000 4.3803
4.3803 4.3803 0.0000
Mn Rh O
2 4 8
Direct
0.1250 0.1250 0.1250 Mn
0.8750 0.8750 0.8750 Mn
0.0000 0.5000 0.5000 Rh
0.5000 0.0000 0.5000 Rh
0.5000 0.5000 0.0000 Rh
0.5000 0.5000 0.5000 Rh
0.2632 0.2632 0.2632 O
0.2632 0.2632 0.7105 O
0.2632 0.7105 0.2632 O
0.2895 0.7368 0.7368 O
0.7105 0.2632 0.2632 O
0.7368 0.2895 0.7368 O
0.7368 0.7368 0.2895 O
0.7368 0.7368 0.7368 O
```

Most intense lines, 10° ≤ 2θ ≤ 90°, in order of rising 2θ:
Position (°2θ), I/Imax
17.53, 48
33.94, 100
35.50, 32
41.22, 33
54.42, 38
59.71, 46